Computed XRD peak list of Ba2Li4Pt for CuKα, from the PBE geometry in Alexandria.
Kinematic intensities with the Lorentz-polarization factor, no thermal factor.

Structural model:
```
data_Ba2Li4Pt
_cell_length_a 9.6605
_cell_length_b 9.6605
_cell_length_c 9.6605
_cell_angle_alpha 149.82
_cell_angle_beta 149.82
_cell_angle_gamma 43.20
_symmetry_space_group_name_H-M 'P 1'
_symmetry_Int_Tables_number 1
loop_
_symmetry_equiv_pos_as_xyz
'x,y,z'
loop_
_atom_site_label
_atom_site_type_symbol
_atom_site_fract_x
_atom_site_fract_y
_atom_site_fract_z
Ba1 Ba 0.1511 0.1511 0.0000
Ba2 Ba 0.8489 0.8489 0.0000
Li1 Li 0.0000 0.5000 0.5000
Li2 Li 0.3671 0.3671 0.0000
Li3 Li 0.5000 0.0000 0.5000
Li4 Li 0.6329 0.6329 0.0000
Pt1 Pt 0.5000 0.5000 0.0000
```

Most intense lines, 2θ = 10–80°, in order of rising 2θ:
d (Å)	two_theta	I_rel
3.851	23.1	100
3.556	25.0	45
2.515	35.7	20
2.290	39.3	22
2.106	43.0	39
1.926	47.2	14

Computed XRD peak list of UTc2P2Ir for CuKα, from the PBE geometry in Alexandria.
Kinematic intensities with the Lorentz-polarization factor, no thermal factor.

Structural model:
```
data_UTc2P2Ir
_cell_length_a 3.9904
_cell_length_b 6.9448
_cell_length_c 6.7844
_cell_angle_alpha 90.00
_cell_angle_beta 90.00
_cell_angle_gamma 90.00
_symmetry_space_group_name_H-M 'P 1'
_symmetry_Int_Tables_number 1
loop_
_symmetry_equiv_pos_as_xyz
'x,y,z'
loop_
_atom_site_label
_atom_site_type_symbol
_atom_site_fract_x
_atom_site_fract_y
_atom_site_fract_z
U1 U 0.0000 0.1081 0.0000
U2 U 0.0000 0.8919 0.5000
Tc1 Tc 0.0000 0.3189 0.3874
Tc2 Tc 0.0000 0.6811 0.8874
Tc3 Tc 0.5000 0.4111 0.0833
Tc4 Tc 0.5000 0.5889 0.5833
P1 P 0.0000 0.4010 0.7156
P2 P 0.0000 0.5990 0.2156
P3 P 0.5000 0.1464 0.3075
P4 P 0.5000 0.8536 0.8075
Ir1 Ir 0.5000 0.1920 0.6897
Ir2 Ir 0.5000 0.8080 0.1897
```

Most intense lines, 2θ = 10–80°, in order of rising 2θ:
d (Å)	two_theta	I_rel
3.086	28.9	56
2.585	34.7	57
2.444	36.8	100
2.423	37.1	55
2.150	42.0	34
1.995	45.5	33

Computed XRD peak list of LaHo2H8 for CuKα, from the PBE geometry in Alexandria.
Kinematic intensities with the Lorentz-polarization factor, no thermal factor.

Structural model:
```
data_LaHo2H8
_cell_length_a 6.4326
_cell_length_b 6.4326
_cell_length_c 6.4326
_cell_angle_alpha 146.65
_cell_angle_beta 131.04
_cell_angle_gamma 60.53
_symmetry_space_group_name_H-M 'P 1'
_symmetry_Int_Tables_number 1
loop_
_symmetry_equiv_pos_as_xyz
'x,y,z'
loop_
_atom_site_label
_atom_site_type_symbol
_atom_site_fract_x
_atom_site_fract_y
_atom_site_fract_z
La1 La 0.0000 0.0000 0.0000
Ho1 Ho 0.3290 0.3290 0.0000
Ho2 Ho 0.6710 0.6710 0.0000
H1 H 0.1022 0.8320 0.2702
H2 H 0.1567 0.6567 0.5000
H3 H 0.2928 0.5000 0.7928
H4 H 0.4382 0.1680 0.2702
H5 H 0.5618 0.8320 0.7298
H6 H 0.7072 0.5000 0.2072
H7 H 0.8433 0.3433 0.5000
H8 H 0.8978 0.1680 0.7298
```

Most intense lines, 2θ = 10–80°, in order of rising 2θ:
d (Å)	two_theta	I_rel
3.038	29.4	100
2.665	33.6	18
2.615	34.3	33
1.867	48.8	26
1.602	57.5	15
1.578	58.5	14

Computed XRD peak list of LaPaPtAu for CuKα, from the PBE geometry in Alexandria.
Kinematic intensities with the Lorentz-polarization factor, no thermal factor.

Structural model:
```
data_LaPaPtAu
_cell_length_a 5.1393
_cell_length_b 5.1393
_cell_length_c 5.1393
_cell_angle_alpha 60.00
_cell_angle_beta 60.00
_cell_angle_gamma 60.00
_symmetry_space_group_name_H-M 'P 1'
_symmetry_Int_Tables_number 1
loop_
_symmetry_equiv_pos_as_xyz
'x,y,z'
loop_
_atom_site_label
_atom_site_type_symbol
_atom_site_fract_x
_atom_site_fract_y
_atom_site_fract_z
La1 La 0.0000 0.0000 0.0000
Pa1 Pa 0.5000 0.5000 0.5000
Pt1 Pt 0.2500 0.2500 0.2500
Au1 Au 0.7500 0.7500 0.7500
```

Most intense lines, 2θ = 10–80°, in order of rising 2θ:
d (Å)	two_theta	I_rel
4.196	21.2	3
2.570	34.9	100
2.191	41.2	2
1.817	50.2	18
1.484	62.6	38
1.285	73.7	12

Computed XRD peak list of Dy2TlHg for CuKα, from the PBE geometry in Alexandria.
Kinematic intensities with the Lorentz-polarization factor, no thermal factor.

Structural model:
```
data_Dy2TlHg
_cell_length_a 5.3424
_cell_length_b 3.7150
_cell_length_c 10.7235
_cell_angle_alpha 90.00
_cell_angle_beta 90.00
_cell_angle_gamma 90.00
_symmetry_space_group_name_H-M 'P 1'
_symmetry_Int_Tables_number 1
loop_
_symmetry_equiv_pos_as_xyz
'x,y,z'
loop_
_atom_site_label
_atom_site_type_symbol
_atom_site_fract_x
_atom_site_fract_y
_atom_site_fract_z
Dy1 Dy 0.2500 0.0000 0.1190
Dy2 Dy 0.2500 0.0000 0.6305
Dy3 Dy 0.7500 0.0000 0.3695
Dy4 Dy 0.7500 0.0000 0.8810
Tl1 Tl 0.2500 0.5000 0.3734
Tl2 Tl 0.7500 0.5000 0.6266
Hg1 Hg 0.2500 0.5000 0.8762
Hg2 Hg 0.7500 0.5000 0.1238
```

Most intense lines, 2θ = 10–80°, in order of rising 2θ:
d (Å)	two_theta	I_rel
2.681	33.4	26
2.671	33.5	26
2.651	33.8	100
1.542	60.0	19
1.538	60.2	19
1.526	60.7	19

Computed XRD peak list of TiV4Hg for CuKα, from the PBE geometry in Alexandria.
Kinematic intensities with the Lorentz-polarization factor, no thermal factor.

Structural model:
```
data_TiV4Hg
_cell_length_a 5.0580
_cell_length_b 5.0580
_cell_length_c 5.0580
_cell_angle_alpha 60.00
_cell_angle_beta 60.00
_cell_angle_gamma 60.00
_symmetry_space_group_name_H-M 'P 1'
_symmetry_Int_Tables_number 1
loop_
_symmetry_equiv_pos_as_xyz
'x,y,z'
loop_
_atom_site_label
_atom_site_type_symbol
_atom_site_fract_x
_atom_site_fract_y
_atom_site_fract_z
Ti1 Ti 0.0000 0.0000 0.0000
V1 V 0.1141 0.6286 0.6286
V2 V 0.6286 0.1141 0.6286
V3 V 0.6286 0.6286 0.1141
V4 V 0.6286 0.6286 0.6286
Hg1 Hg 0.2500 0.2500 0.2500
```

Most intense lines, 2θ = 10–80°, in order of rising 2θ:
d (Å)	two_theta	I_rel
4.130	21.5	31
3.577	24.9	29
2.529	35.5	57
2.157	41.9	100
2.065	43.8	21
1.377	68.1	31

Computed XRD peak list of ScTiCoTc for CuKα, from the PBE geometry in Alexandria.
Kinematic intensities with the Lorentz-polarization factor, no thermal factor.

Structural model:
```
data_ScTiCoTc
_cell_length_a 4.3901
_cell_length_b 4.3901
_cell_length_c 4.3901
_cell_angle_alpha 60.00
_cell_angle_beta 60.00
_cell_angle_gamma 60.00
_symmetry_space_group_name_H-M 'P 1'
_symmetry_Int_Tables_number 1
loop_
_symmetry_equiv_pos_as_xyz
'x,y,z'
loop_
_atom_site_label
_atom_site_type_symbol
_atom_site_fract_x
_atom_site_fract_y
_atom_site_fract_z
Sc1 Sc 0.0000 0.0000 0.0000
Ti1 Ti 0.5000 0.5000 0.5000
Co1 Co 0.2500 0.2500 0.2500
Tc1 Tc 0.7500 0.7500 0.7500
```

Most intense lines, 2θ = 10–80°, in order of rising 2θ:
d (Å)	two_theta	I_rel
3.585	24.8	6
3.104	28.8	10
2.195	41.1	100
1.552	59.6	16
1.388	67.5	4
1.267	74.9	30

Computed XRD peak list of La6SmDy2Y for CuKα, from the PBE geometry in Alexandria.
Kinematic intensities with the Lorentz-polarization factor, no thermal factor.

Structural model:
```
data_La6SmDy2Y
_cell_length_a 6.7364
_cell_length_b 6.7364
_cell_length_c 9.0241
_cell_angle_alpha 101.84
_cell_angle_beta 101.84
_cell_angle_gamma 64.52
_symmetry_space_group_name_H-M 'P 1'
_symmetry_Int_Tables_number 1
loop_
_symmetry_equiv_pos_as_xyz
'x,y,z'
loop_
_atom_site_label
_atom_site_type_symbol
_atom_site_fract_x
_atom_site_fract_y
_atom_site_fract_z
La1 La 0.0962 0.5391 0.1983
La2 La 0.1330 0.1330 0.4300
La3 La 0.4609 0.9038 0.8017
La4 La 0.5391 0.0962 0.1983
La5 La 0.8670 0.8670 0.5700
La6 La 0.9038 0.4609 0.8017
Sm1 Sm 0.0000 0.0000 0.0000
Dy1 Dy 0.4124 0.4124 0.8346
Dy2 Dy 0.5876 0.5876 0.1654
Y1 Y 0.5000 0.5000 0.5000
```

Most intense lines, 2θ = 10–80°, in order of rising 2θ:
d (Å)	two_theta	I_rel
3.337	26.7	53
3.014	29.6	51
2.973	30.1	100
2.874	31.1	48
2.840	31.5	36
2.777	32.2	73

Computed XRD peak list of Tm3Mg2Sn3 for CuKα, from the PBE geometry in Alexandria.
Kinematic intensities with the Lorentz-polarization factor, no thermal factor.

Structural model:
```
data_Tm3Mg2Sn3
_cell_length_a 8.7462
_cell_length_b 8.7462
_cell_length_c 6.1604
_cell_angle_alpha 90.00
_cell_angle_beta 90.00
_cell_angle_gamma 120.00
_symmetry_space_group_name_H-M 'P 1'
_symmetry_Int_Tables_number 1
loop_
_symmetry_equiv_pos_as_xyz
'x,y,z'
loop_
_atom_site_label
_atom_site_type_symbol
_atom_site_fract_x
_atom_site_fract_y
_atom_site_fract_z
Tm1 Tm 0.0000 0.2454 0.2500
Tm2 Tm 0.0000 0.7546 0.7500
Tm3 Tm 0.2454 0.0000 0.2500
Tm4 Tm 0.2454 0.2454 0.7500
Tm5 Tm 0.7546 0.0000 0.7500
Tm6 Tm 0.7546 0.7546 0.2500
Mg1 Mg 0.3333 0.6667 0.0000
Mg2 Mg 0.3333 0.6667 0.5000
Mg3 Mg 0.6667 0.3333 0.0000
Mg4 Mg 0.6667 0.3333 0.5000
Sn1 Sn 0.0000 0.3957 0.7500
Sn2 Sn 0.0000 0.6043 0.2500
Sn3 Sn 0.3957 0.0000 0.7500
Sn4 Sn 0.3957 0.3957 0.2500
Sn5 Sn 0.6043 0.0000 0.2500
Sn6 Sn 0.6043 0.6043 0.7500
```

Most intense lines, 2θ = 10–80°, in order of rising 2θ:
d (Å)	two_theta	I_rel
4.373	20.3	26
3.080	29.0	35
2.863	31.2	13
2.596	34.5	100
2.521	35.6	41
1.669	55.0	27

Computed XRD peak list of Rb2SbPbBr6 for CuKα, from the PBE geometry in Alexandria.
Kinematic intensities with the Lorentz-polarization factor, no thermal factor.

Structural model:
```
data_Rb2SbPbBr6
_cell_length_a 8.3464
_cell_length_b 8.3464
_cell_length_c 8.3557
_cell_angle_alpha 119.88
_cell_angle_beta 119.88
_cell_angle_gamma 89.90
_symmetry_space_group_name_H-M 'P 1'
_symmetry_Int_Tables_number 1
loop_
_symmetry_equiv_pos_as_xyz
'x,y,z'
loop_
_atom_site_label
_atom_site_type_symbol
_atom_site_fract_x
_atom_site_fract_y
_atom_site_fract_z
Rb1 Rb 0.2500 0.7500 0.0000
Rb2 Rb 0.7500 0.2500 0.0000
Sb1 Sb 0.4478 0.4478 0.3971
Pb1 Pb 0.9491 0.9491 0.3999
Br1 Br 0.1940 0.6836 0.3799
Br2 Br 0.1948 0.1948 0.3809
Br3 Br 0.2035 0.2035 0.9065
Br4 Br 0.6836 0.1940 0.3799
Br5 Br 0.6849 0.6849 0.3818
Br6 Br 0.6929 0.6929 0.8851
```

Most intense lines, 2θ = 10–80°, in order of rising 2θ:
d (Å)	two_theta	I_rel
5.916	15.0	92
4.185	21.2	49
2.967	30.1	39
2.951	30.3	100
2.091	43.3	42
2.087	43.4	37